Entry 1:
Starting from a structure optimized by DFT (GGA-PBE), the powder diffraction line list of Pr3Al3Ni2 was simulated for Cu Kα.
Peak positions follow from Bragg's law for the DFT cell and can differ from measured ones.

Structural model:
abc: 4.2144 10.9746 15.3459
angles: 90.00 90.00 90.00
Space group Cmcm (No. 63)
Asymmetric unit:
Pr 0.0000 0.0521 0.1072 (multiplicity 8)
Pr 0.0000 0.3439 0.2500 (multiplicity 4)
Al 0.0000 0.3261 0.0342 (multiplicity 8)
Al 0.0000 0.3596 0.7500 (multiplicity 4)
Ni 0.0000 0.2288 0.6121 (multiplicity 8)

Most intense lines, 10° ≤ 2θ ≤ 80°, sorted by position:
hkl 0 2 3, 2θ = 23.78°, I 33
hkl 1 1 2, 2θ = 25.44°, I 25
hkl 1 3 0, 2θ = 32.41°, I 38
hkl 1 1 4, 2θ = 32.60°, I 100
hkl 1 3 1, 2θ = 32.94°, I 40
hkl 0 4 1, 2θ = 33.17°, I 34
hkl 1 3 3, 2θ = 36.98°, I 45
hkl 0 4 3, 2θ = 37.17°, I 29
hkl 2 0 0, 2θ = 42.92°, I 34
hkl 1 3 7, 2θ = 53.35°, I 25

---

Entry 2:
Starting from a structure optimized by DFT (GGA-PBE), the powder diffraction line list of Pr2AlNi2 was simulated for Cu Kα.
Peak positions follow from Bragg's law for the DFT cell and can differ from measured ones.

Structural model:
abc: 4.2526 5.5094 8.8152
angles: 90.00 90.00 90.00
Space group Immm (No. 71)
Asymmetric unit:
Pr 0.0000 0.0000 0.2003 (multiplicity 4)
Al 0.0000 0.5000 0.0000 (multiplicity 2)
Ni 0.0000 0.2585 0.5000 (multiplicity 4)

Most intense lines, 10° ≤ 2θ ≤ 80°, sorted by position:
hkl 1 1 0, 2θ = 26.48°, I 82
hkl 1 1 2, 2θ = 33.50°, I 100
hkl 0 1 3, 2θ = 34.60°, I 41
hkl 1 0 3, 2θ = 37.19°, I 59
hkl 0 2 2, 2θ = 38.54°, I 54
hkl 1 2 1, 2θ = 40.33°, I 51
hkl 2 0 0, 2θ = 42.52°, I 36
hkl 2 1 3, 2θ = 55.93°, I 20
hkl 2 2 2, 2θ = 58.69°, I 47
hkl 1 2 5, 2θ = 66.72°, I 36

---

Entry 3:
Starting from a structure optimized by DFT (GGA-PBE), the powder diffraction line list of Pr3Al2Ni7 was simulated for Cu Kα.
Peak positions follow from Bragg's law for the DFT cell and can differ from measured ones.

Structural model:
abc: 5.2779 5.2779 24.1322
angles: 90.00 90.00 120.00
Space group R-3m (No. 166, hexagonal axes)
Asymmetric unit:
Pr 0.0000 0.0000 0.0000 (multiplicity 3)
Pr 0.0000 0.0000 0.1416 (multiplicity 6)
Al 0.0000 0.0000 0.3308 (multiplicity 6)
Ni 0.0000 0.0000 0.5000 (multiplicity 3)
Ni 0.0099 0.5049 0.0804 (multiplicity 18)

Most intense lines, 10° ≤ 2θ ≤ 80°, sorted by position:
hkl 1 0 7, 2θ = 32.53°, I 66
hkl 1 1 0, 2θ = 33.97°, I 47
hkl 0 1 8, 2θ = 35.66°, I 45
hkl 0 2 1, 2θ = 39.61°, I 58
hkl 2 0 2, 2θ = 40.16°, I 18
hkl 1 1 6, 2θ = 40.90°, I 100
hkl 2 1 7, 2θ = 59.89°, I 21
hkl 1 2 8, 2θ = 61.90°, I 22
hkl 0 3 6, 2θ = 65.51°, I 24
hkl 2 2 0, 2θ = 71.50°, I 25

---

Entry 4:
Starting from a structure optimized by DFT (GGA-PBE), the powder diffraction line list of Pr2Al4NiPt3 was simulated for Cu Kα.
Peak positions follow from Bragg's law for the DFT cell and can differ from measured ones.

Structural model:
abc: 4.2969 4.2969 10.3236
angles: 90.00 90.00 90.00
Space group P-4m2 (No. 115)
Asymmetric unit:
Pr 0.0000 0.5000 0.2459 (multiplicity 2)
Al 0.0000 0.0000 0.5000 (multiplicity 1)
Al 0.0000 0.5000 0.8794 (multiplicity 2)
Al 0.5000 0.5000 0.5000 (multiplicity 1)
Ni 0.5000 0.5000 0.0000 (multiplicity 1)
Pt 0.0000 0.0000 0.0000 (multiplicity 1)
Pt 0.0000 0.5000 0.6341 (multiplicity 2)

Most intense lines, 10° ≤ 2θ ≤ 80°, sorted by position:
hkl 0 0 3, 2θ = 25.89°, I 26
hkl 1 0 2, 2θ = 27.00°, I 60
hkl 1 1 0, 2θ = 29.40°, I 31
hkl 1 1 1, 2θ = 30.67°, I 56
hkl 1 0 3, 2θ = 33.36°, I 83
hkl 1 1 2, 2θ = 34.25°, I 100
hkl 2 0 0, 2θ = 42.06°, I 75
hkl 1 0 5, 2θ = 48.94°, I 40
hkl 2 1 3, 2θ = 54.71°, I 41
hkl 2 1 5, 2θ = 66.47°, I 32

---

Entry 5:
Starting from a structure optimized by DFT (GGA-PBE), the powder diffraction line list of AlNi2Pt5 was simulated for Cu Kα.
Peak positions follow from Bragg's law for the DFT cell and can differ from measured ones.

Structural model:
abc: 5.4203 10.7879 3.9125
angles: 90.00 90.00 90.00
Space group Pbam (No. 55)
Asymmetric unit:
Al 0.0000 0.0000 0.0000 (multiplicity 2)
Ni 0.2200 0.3678 0.5000 (multiplicity 4)
Pt 0.0000 0.5000 0.0000 (multiplicity 2)
Pt 0.0314 0.7595 0.0000 (multiplicity 4)
Pt 0.2215 0.1138 0.5000 (multiplicity 4)

Most intense lines, 10° ≤ 2θ ≤ 80°, sorted by position:
hkl 1 2 0, 2θ = 23.26°, I 19
hkl 1 1 1, 2θ = 29.35°, I 13
hkl 1 3 0, 2θ = 29.82°, I 12
hkl 1 2 1, 2θ = 32.75°, I 19
hkl 2 0 1, 2θ = 40.49°, I 95
hkl 0 4 1, 2θ = 40.63°, I 100
hkl 2 1 1, 2θ = 41.38°, I 12
hkl 0 0 2, 2θ = 46.42°, I 36
hkl 2 4 0, 2θ = 47.56°, I 57
hkl 2 4 2, 2θ = 68.64°, I 38

---

Entry 6:
Starting from a structure optimized by DFT (GGA-PBE), the powder diffraction line list of AlNi2Pt7 was simulated for Cu Kα.
Peak positions follow from Bragg's law for the DFT cell and can differ from measured ones.

Structural model:
abc: 7.1980 12.0914 4.2275
angles: 90.00 90.00 90.00
Space group Cmmm (No. 65)
Asymmetric unit:
Al 0.0000 0.0000 0.0000 (multiplicity 2)
Ni 0.0000 0.2992 0.5000 (multiplicity 4)
Pt 0.0000 0.2009 0.0000 (multiplicity 4)
Pt 0.0000 0.5000 0.5000 (multiplicity 2)
Pt 0.1885 0.1127 0.5000 (multiplicity 8)

Most intense lines, 10° ≤ 2θ ≤ 80°, sorted by position:
hkl 0 0 1, 2θ = 21.01°, I 83
hkl 1 3 0, 2θ = 25.33°, I 61
hkl 0 2 1, 2θ = 25.71°, I 52
hkl 2 0 1, 2θ = 32.68°, I 49
hkl 0 4 1, 2θ = 36.54°, I 38
hkl 2 4 0, 2θ = 38.91°, I 63
hkl 0 0 2, 2θ = 42.78°, I 65
hkl 3 1 1, 2θ = 44.04°, I 88
hkl 1 5 1, 2θ = 44.98°, I 100
hkl 2 4 2, 2θ = 59.20°, I 41

---

Question: Which formula does entry 4 have?
Answer: Pr2Al4NiPt3

---

Question: Which formula does entry 2 have?
Answer: Pr2AlNi2